For Ti5VRu6, a crystal structure in Alexandria, relaxed with GGA-PBE gives the simulated powder XRD pattern in this record (Cu Kα X-rays).
No peak broadening, texture or thermal motion is included.

Principal peaks in the range 2θ from 15° to 90°, low angle first:
(1 0 3), 29.1 deg, I = 18; (2 0 0), 41.6 deg, I = 100; (2 2 0), 51.6 deg, I = 5; (2 0 6), 60.3 deg, I = 11; (0 4 0), 60.4 deg, I = 5; (3 0 3), 68.3 deg, I = 5; (3 2 3), 75.9 deg, I = 21; (2 4 0), 76.0 deg, I = 10

Structural model:
Lattice parameters (Å, degrees): 4.346 6.128 13.025 90.00 90.00 90.00
Space group Immm (No. 71)
Asymmetric unit:
Ti1 0.000 0.000 0.000 x2
Ti2 0.000 0.000 0.335 x4
Ti3 0.000 0.500 0.333 x4
V1 0.000 0.500 0.000 x2
Ru1 0.000 0.248 0.500 x4
Ru2 0.000 0.251 0.166 x8